Diffraction record for Ca3N2. The XRD peak list is calculated, not measured: it uses DFT lattice parameters and positions (GGA-PBE) and Cu Kα.
Kinematic intensities with the Lorentz-polarization factor, no thermal factor.

Cell and atoms:
```
20
Lattice="8.9821 0.0000 0.0000 0.0000 6.2132 0.0000 0.0000 0.0000 6.3607" Properties=species:S:1:pos:R:3 pbc="T T T"
Ca 0.0000 0.2792 1.5902
Ca 0.0000 5.9340 4.7705
Ca 1.3732 2.4456 3.8476
Ca 1.3732 3.7675 0.6672
Ca 3.1179 0.6609 0.6672
Ca 3.1179 5.5522 3.8476
Ca 4.4911 2.8274 4.7705
Ca 4.4911 3.3858 1.5902
Ca 5.8643 0.6609 2.5132
Ca 5.8643 5.5522 5.6935
Ca 7.6089 2.4456 5.6935
Ca 7.6089 3.7675 2.5132
N 1.0062 1.5359 6.1616
N 1.0062 4.6772 2.9813
N 3.4849 1.5706 2.9813
N 3.4849 4.6425 6.1616
N 5.4973 1.5706 0.1991
N 5.4973 4.6425 3.3795
N 7.9759 1.5359 3.3795
N 7.9759 4.6772 0.1991
```

Peak list (6 most intense, 2θ from 15° to 90°, by intensity)
d/Å	I/Imax
2.698	100
2.791	37
2.666	35
2.395	32
2.998	31
1.804	22

---

Diffraction record for NaCa8N5. The XRD peak list is calculated, not measured: it uses DFT lattice parameters and positions (GGA-PBE) and Cu Kα.
Kinematic intensities with the Lorentz-polarization factor, no thermal factor.

Cell and atoms:
```
14
Lattice="9.2603 -1.8383 0.0000 9.2603 1.8383 0.0000 -2.4683 0.0000 8.8523" Properties=species:S:1:pos:R:3 pbc="T T T"
Na 0.0000 0.0000 0.0000
Ca -0.0299 0.0000 5.5387
Ca 4.0502 0.0000 3.1490
Ca 5.8663 0.0000 0.2553
Ca 6.0097 0.0000 5.8191
Ca 10.0427 0.0000 3.0332
Ca 10.1861 0.0000 8.5970
Ca 12.0022 0.0000 5.7033
Ca 16.0823 0.0000 3.3136
N 1.8230 0.0000 4.0002
N 1.7097 0.0000 7.3581
N 8.0262 0.0000 4.4262
N 14.3426 0.0000 1.4942
N 14.2293 0.0000 4.8521
```

Peak list (6 most intense, 2θ from 15° to 90°, by intensity)
d/Å	I/Imax
2.743	100
2.826	97
2.951	42
2.615	39
1.794	34
2.009	32

---

Diffraction record for NaCaNp4N8. The XRD peak list is calculated, not measured: it uses DFT lattice parameters and positions (GGA-PBE) and Cu Kα.
Kinematic intensities with the Lorentz-polarization factor, no thermal factor.

Cell and atoms:
```
14
Lattice="3.4535 1.9939 5.7752 -3.4535 1.9939 5.7752 0.0000 -3.9877 5.7752" Properties=species:S:1:pos:R:3 pbc="T T T"
Na 0.0000 0.0000 0.0000
Ca 0.0000 0.0000 6.2327
Np 0.0000 1.9737 14.4659
Np 1.7093 -0.9869 14.4659
Np -1.7093 -0.9869 14.4659
Np 0.0000 0.0000 9.2988
N -1.8556 -1.0714 9.7943
N 0.0000 0.0000 3.8925
N 0.0000 -1.8939 7.8496
N -1.6401 0.9469 7.8496
N 1.8556 -1.0714 9.7943
N 0.0000 2.1427 9.7943
N 1.6401 0.9469 7.8496
N 0.0000 0.0000 13.5497
```

Peak list (6 most intense, 2θ from 15° to 90°, by intensity)
d/Å	I/Imax
5.775	100
2.947	63
2.827	46
2.461	41
1.654	22
2.264	20